Starting from DFT lattice parameters and positions (GGA-PBE), the powder X-ray diffraction pattern of CaLa2Sm2Cd5 was simulated for λ = 1.5418 Å (Cu Kα).
Neutral-atom scattering factors, no anomalous dispersion.

Atomic structure:
Unit cell a=10.895 b=10.895 c=4.846 alpha=90.00 beta=90.00 gamma=90.00
Sites, in units of the cell vectors:
Ca 0.000 0.000 0.000
Ca 0.500 0.500 0.000
La 0.175 0.325 0.000
La 0.325 0.825 0.000
La 0.675 0.175 0.000
La 0.825 0.675 0.000
Sm 0.125 0.625 0.000
Sm 0.375 0.125 0.000
Sm 0.625 0.875 0.000
Sm 0.875 0.375 0.000
Cd 0.000 0.500 0.500
Cd 0.066 0.806 0.500
Cd 0.194 0.066 0.500
Cd 0.306 0.566 0.500
Cd 0.434 0.306 0.500
Cd 0.500 0.000 0.500
Cd 0.566 0.694 0.500
Cd 0.694 0.434 0.500
Cd 0.806 0.934 0.500
Cd 0.934 0.194 0.500

The 6 most intense peaks (5° ≤ 2θ ≤ 70°), low angle first:
d_spacing	2θ/deg	I/Imax
2.808	31.9	100
2.643	33.9	36
2.565	35.0	72
2.423	37.1	34
2.375	37.9	20
1.786	51.1	22

---

Starting from DFT lattice parameters and positions (GGA-PBE), the powder X-ray diffraction pattern of CaLaTbCd was simulated for λ = 1.5418 Å (Cu Kα).
Neutral-atom scattering factors, no anomalous dispersion.

Atomic structure:
Unit cell a=3.683 b=3.683 c=9.571 alpha=90.00 beta=90.00 gamma=90.00
Sites, in units of the cell vectors:
Ca 0.000 0.000 0.000
La 0.500 0.500 0.316
Tb 0.000 0.000 0.580
Cd 0.500 0.500 0.782

The 6 most intense peaks (5° ≤ 2θ ≤ 70°), low angle first:
d_spacing	2θ/deg	I/Imax
9.571	9.2	41
2.919	30.6	100
2.604	34.4	41
1.842	49.5	14
1.762	51.9	16
1.557	59.3	30

---

Starting from DFT lattice parameters and positions (GGA-PBE), the powder X-ray diffraction pattern of Li7CaCd3 was simulated for λ = 1.5418 Å (Cu Kα).
Neutral-atom scattering factors, no anomalous dispersion.

Atomic structure:
Unit cell a=7.244 b=7.244 c=5.195 alpha=109.88 beta=109.88 gamma=87.12
Sites, in units of the cell vectors:
Li 0.000 0.000 0.000
Li 0.103 0.488 0.295
Li 0.342 0.342 0.849
Li 0.488 0.103 0.295
Li 0.512 0.897 0.705
Li 0.658 0.658 0.151
Li 0.897 0.512 0.705
Ca 0.000 0.000 0.500
Cd 0.264 0.736 0.000
Cd 0.500 0.500 0.500
Cd 0.736 0.264 0.000

The 6 most intense peaks (5° ≤ 2θ ≤ 70°), low angle first:
d_spacing	2θ/deg	I/Imax
6.794	13.0	29
4.636	19.1	100
3.378	26.4	91
3.332	26.8	88
2.368	38.0	40
2.321	38.8	56

---

Starting from DFT lattice parameters and positions (GGA-PBE), the powder X-ray diffraction pattern of Li3Ca10Cd3 was simulated for λ = 1.5418 Å (Cu Kα).
Neutral-atom scattering factors, no anomalous dispersion.

Atomic structure:
Unit cell a=9.554 b=9.554 c=6.778 alpha=90.00 beta=90.00 gamma=120.00
Sites, in units of the cell vectors:
Li 0.000 0.406 0.000
Li 0.406 0.000 0.000
Li 0.594 0.594 0.000
Ca 0.000 0.249 0.500
Ca 0.000 0.754 0.000
Ca 0.246 0.246 0.000
Ca 0.249 0.000 0.500
Ca 0.333 0.667 0.255
Ca 0.333 0.667 0.745
Ca 0.667 0.333 0.255
Ca 0.667 0.333 0.745
Ca 0.751 0.751 0.500
Ca 0.754 0.000 0.000
Cd 0.000 0.601 0.500
Cd 0.399 0.399 0.500
Cd 0.601 0.000 0.500

The 6 most intense peaks (5° ≤ 2θ ≤ 70°), low angle first:
d_spacing	2θ/deg	I/Imax
6.778	13.1	50
4.777	18.6	36
3.129	28.5	30
2.840	31.5	74
2.762	32.4	100
2.174	41.5	25

---

Starting from DFT lattice parameters and positions (GGA-PBE), the powder X-ray diffraction pattern of Li5CaCd6 was simulated for λ = 1.5418 Å (Cu Kα).
Neutral-atom scattering factors, no anomalous dispersion.

Atomic structure:
Unit cell a=4.816 b=7.098 c=7.571 alpha=90.00 beta=107.48 gamma=90.00
Sites, in units of the cell vectors:
Li 0.000 0.000 0.000
Li 0.330 0.500 0.660
Li 0.335 0.000 0.678
Li 0.665 0.000 0.322
Li 0.670 0.500 0.340
Ca 0.000 0.500 0.000
Cd 0.180 0.229 0.352
Cd 0.180 0.771 0.352
Cd 0.500 0.219 0.000
Cd 0.500 0.781 0.000
Cd 0.820 0.229 0.648
Cd 0.820 0.771 0.648

The 6 most intense peaks (5° ≤ 2θ ≤ 70°), low angle first:
d_spacing	2θ/deg	I/Imax
3.549	25.1	89
3.436	25.9	89
3.373	26.4	86
2.469	36.4	99
2.445	36.8	98
2.407	37.4	100

---

Starting from DFT lattice parameters and positions (GGA-PBE), the powder X-ray diffraction pattern of Li9CaCd2 was simulated for λ = 1.5418 Å (Cu Kα).
Neutral-atom scattering factors, no anomalous dispersion.

Atomic structure:
Unit cell a=9.061 b=9.061 c=9.061 alpha=99.99 beta=99.99 gamma=130.78
Sites, in units of the cell vectors:
Li 0.060 0.229 0.425
Li 0.060 0.634 0.831
Li 0.229 0.060 0.925
Li 0.229 0.304 0.169
Li 0.304 0.229 0.669
Li 0.304 0.634 0.075
Li 0.366 0.696 0.425
Li 0.366 0.940 0.669
Li 0.375 0.625 0.750
Li 0.625 0.375 0.250
Li 0.634 0.060 0.331
Li 0.634 0.304 0.575
Li 0.696 0.366 0.925
Li 0.696 0.771 0.331
Li 0.771 0.696 0.831
Li 0.771 0.940 0.075
Li 0.940 0.366 0.169
Li 0.940 0.771 0.575
Ca 0.125 0.875 0.250
Ca 0.875 0.125 0.750
Cd 0.000 0.500 0.500
Cd 0.500 0.000 0.000
Cd 0.500 0.500 0.000
Cd 0.500 0.500 0.500

The 6 most intense peaks (5° ≤ 2θ ≤ 70°), low angle first:
d_spacing	2θ/deg	I/Imax
6.334	14.0	49
4.288	20.7	100
4.119	21.6	40
3.167	28.2	60
2.970	30.1	46
2.144	42.2	48

---

Starting from DFT lattice parameters and positions (GGA-PBE), the powder X-ray diffraction pattern of Li4CaCd4 was simulated for λ = 1.5418 Å (Cu Kα).
Neutral-atom scattering factors, no anomalous dispersion.

Atomic structure:
Unit cell a=7.053 b=7.053 c=7.053 alpha=95.64 beta=95.64 gamma=143.48
Sites, in units of the cell vectors:
Li 0.184 0.184 0.367
Li 0.184 0.816 0.000
Li 0.816 0.184 0.000
Li 0.816 0.816 0.633
Ca 0.500 0.500 0.000
Cd 0.165 0.500 0.665
Cd 0.500 0.165 0.665
Cd 0.500 0.835 0.335
Cd 0.835 0.500 0.335

The 6 most intense peaks (5° ≤ 2θ ≤ 70°), low angle first:
d_spacing	2θ/deg	I/Imax
6.698	13.2	65
4.006	22.2	26
3.058	29.2	38
2.569	34.9	100
2.233	40.4	33
1.345	69.9	24

---

Starting from DFT lattice parameters and positions (GGA-PBE), the powder X-ray diffraction pattern of Li6CaCd2 was simulated for λ = 1.5418 Å (Cu Kα).
Neutral-atom scattering factors, no anomalous dispersion.

Atomic structure:
Unit cell a=4.218 b=4.218 c=11.315 alpha=90.00 beta=90.00 gamma=90.00
Sites, in units of the cell vectors:
Li 0.000 0.000 0.000
Li 0.000 0.500 0.200
Li 0.000 0.500 0.800
Li 0.500 0.000 0.200
Li 0.500 0.000 0.800
Li 0.500 0.500 0.000
Ca 0.000 0.000 0.500
Cd 0.500 0.500 0.368
Cd 0.500 0.500 0.632

The 6 most intense peaks (5° ≤ 2θ ≤ 70°), low angle first:
d_spacing	2θ/deg	I/Imax
11.315	7.8	100
4.218	21.1	24
2.982	30.0	20
2.884	31.0	20
2.811	31.8	25
2.349	38.3	21

---

Starting from DFT lattice parameters and positions (GGA-PBE), the powder X-ray diffraction pattern of Li10CaCd was simulated for λ = 1.5418 Å (Cu Kα).
Neutral-atom scattering factors, no anomalous dispersion.

Atomic structure:
Unit cell a=4.785 b=5.585 c=9.925 alpha=90.00 beta=90.00 gamma=90.00
Sites, in units of the cell vectors:
Li 0.000 0.000 0.000
Li 0.000 0.244 0.266
Li 0.000 0.244 0.734
Li 0.000 0.500 0.500
Li 0.000 0.756 0.266
Li 0.000 0.756 0.734
Li 0.500 0.000 0.196
Li 0.500 0.000 0.804
Li 0.500 0.500 0.353
Li 0.500 0.500 0.647
Ca 0.500 0.500 0.000
Cd 0.500 0.000 0.500

The 6 most intense peaks (5° ≤ 2θ ≤ 70°), low angle first:
d_spacing	2θ/deg	I/Imax
9.925	8.9	62
4.868	18.2	89
4.785	18.5	50
3.444	25.9	50
3.412	26.1	100
2.446	36.7	55

---

Starting from DFT lattice parameters and positions (GGA-PBE), the powder X-ray diffraction pattern of Li17Ca2Cd3 was simulated for λ = 1.5418 Å (Cu Kα).
Neutral-atom scattering factors, no anomalous dispersion.

Atomic structure:
Unit cell a=8.002 b=8.002 c=8.002 alpha=84.79 beta=84.79 gamma=84.79
Sites, in units of the cell vectors:
Li 0.000 0.000 0.500
Li 0.000 0.256 0.744
Li 0.000 0.500 0.000
Li 0.000 0.744 0.256
Li 0.098 0.098 0.098
Li 0.206 0.668 0.668
Li 0.256 0.000 0.744
Li 0.256 0.744 0.000
Li 0.332 0.332 0.794
Li 0.332 0.794 0.332
Li 0.500 0.000 0.000
Li 0.668 0.206 0.668
Li 0.668 0.668 0.206
Li 0.744 0.000 0.256
Li 0.744 0.256 0.000
Li 0.794 0.332 0.332
Li 0.902 0.902 0.902
Ca 0.334 0.334 0.334
Ca 0.666 0.666 0.666
Cd 0.000 0.500 0.500
Cd 0.500 0.000 0.500
Cd 0.500 0.500 0.000

The 6 most intense peaks (5° ≤ 2θ ≤ 70°), low angle first:
d_spacing	2θ/deg	I/Imax
7.942	11.1	84
5.022	17.7	87
4.463	19.9	100
3.971	22.4	73
2.698	33.2	71
2.377	37.9	61

---

Starting from DFT lattice parameters and positions (GGA-PBE), the powder X-ray diffraction pattern of Li4CaCd3 was simulated for λ = 1.5418 Å (Cu Kα).
Neutral-atom scattering factors, no anomalous dispersion.

Atomic structure:
Unit cell a=9.559 b=7.322 c=4.775 alpha=90.00 beta=90.00 gamma=90.00
Sites, in units of the cell vectors:
Li 0.000 0.213 0.000
Li 0.000 0.787 0.000
Li 0.250 0.213 0.493
Li 0.250 0.787 0.493
Li 0.500 0.213 0.000
Li 0.500 0.787 0.000
Li 0.750 0.213 0.507
Li 0.750 0.787 0.507
Ca 0.000 0.500 0.500
Ca 0.500 0.500 0.500
Cd 0.000 0.000 0.500
Cd 0.250 0.000 0.993
Cd 0.250 0.500 0.998
Cd 0.500 0.000 0.500
Cd 0.750 0.000 0.007
Cd 0.750 0.500 0.002

The 6 most intense peaks (5° ≤ 2θ ≤ 70°), low angle first:
d_spacing	2θ/deg	I/Imax
3.661	24.3	59
3.378	26.4	95
2.483	36.2	100
2.388	37.7	45
2.000	45.3	43
1.396	67.0	30

---

Starting from DFT lattice parameters and positions (GGA-PBE), the powder X-ray diffraction pattern of Li15Ca6Cd8 was simulated for λ = 1.5418 Å (Cu Kα).
Neutral-atom scattering factors, no anomalous dispersion.

Atomic structure:
Unit cell a=9.802 b=9.802 c=9.802 alpha=60.00 beta=60.00 gamma=60.00
Sites, in units of the cell vectors:
Li 0.000 0.000 0.000
Li 0.000 0.000 0.500
Li 0.000 0.500 0.000
Li 0.000 0.500 0.500
Li 0.028 0.324 0.324
Li 0.324 0.028 0.324
Li 0.324 0.324 0.028
Li 0.324 0.324 0.324
Li 0.500 0.000 0.000
Li 0.500 0.000 0.500
Li 0.500 0.500 0.000
Li 0.676 0.676 0.676
Li 0.676 0.676 0.972
Li 0.676 0.972 0.676
Li 0.972 0.676 0.676
Ca 0.288 0.288 0.712
Ca 0.288 0.712 0.288
Ca 0.288 0.712 0.712
Ca 0.712 0.288 0.288
Ca 0.712 0.288 0.712
Ca 0.712 0.712 0.288
Cd 0.122 0.122 0.122
Cd 0.122 0.122 0.634
Cd 0.122 0.634 0.122
Cd 0.366 0.878 0.878
Cd 0.634 0.122 0.122
Cd 0.878 0.366 0.878
Cd 0.878 0.878 0.366
Cd 0.878 0.878 0.878

The 6 most intense peaks (5° ≤ 2θ ≤ 70°), low angle first:
d_spacing	2θ/deg	I/Imax
8.003	11.1	71
4.180	21.3	52
3.466	25.7	44
3.180	28.1	44
2.668	33.6	47
2.451	36.7	100